Theoretical XRD peak list
Compound: Li4Mn3P3O12F
Radiation: Cu Kα, 1.54184 Å
Structure: a GGA+U-relaxed structure

Principal peaks in the range 15° ≤ 2θ ≤ 90°, sorted by position:
hkl, Position (°2θ), I (rel.)
2 0 0, 20.9, 38
2 1 1, 25.6, 100
2 2 0, 29.7, 13
2 2 2, 36.6, 74
3 2 0, 38.1, 13
3 2 1, 39.6, 57
4 2 1, 49.0, 18
5 2 1, 59.5, 12
4 4 0, 61.6, 44
6 2 2, 73.8, 19

```
data_Li4Mn3P3O12F
_cell_length_a 8.514
_cell_length_b 8.514
_cell_length_c 8.514
_cell_angle_alpha 90.00
_cell_angle_beta 90.00
_cell_angle_gamma 90.00
_symmetry_space_group_name_H-M 'P -4 3 n'
_symmetry_Int_Tables_number 218
_symmetry_space_group_name_Hall 'P -4n 2 3'
loop_
_atom_site_label
_atom_site_type_symbol
_atom_site_fract_x
_atom_site_fract_y
_atom_site_fract_z
Li1 Li 0.144 0.144 0.144
Mn1 Mn 0.000 0.250 0.500
P1 P 0.000 0.500 0.250
O1 O 0.097 0.383 0.149
F1 F 0.000 0.000 0.000
```